Structure and theoretical powder diffractogram of Y2Ti12Cu9O36 (the PBE geometry in the Materials Project; CuKα).
Neutral-atom scattering factors, no anomalous dispersion.

Cell and atoms:
a = 10.5005 Å, b = 10.5005 Å, c = 6.4478 Å
α = 90.00°, β = 90.00°, γ = 120.00°
Space group P-3 (No. 147)
Unique sites:
Y 0.3333 0.6667 0.3286
Ti 0.0000 0.0000 0.5000
Ti 0.0000 0.5000 0.5000
Ti 0.1582 0.3189 0.1635
Ti 0.3333 0.6667 0.8406
Cu 0.0000 0.5000 0.0000
Cu 0.1678 0.3356 0.6629
O 0.0174 0.1641 0.3294
O 0.0438 0.2686 0.9124
O 0.0767 0.4511 0.2505
O 0.1179 0.7076 0.4148
O 0.1763 0.5261 0.6470
O 0.1928 0.6835 0.0177

Top 12 peaks for 10 to 90 degrees two-theta, by intensity:
2theta  d [Å]  intensity
34.12  2.628  100
61.12  1.516  37
49.03  1.858  29
60.98  1.519  12
81.95  1.176  8
82.06  1.174  8
38.30  2.350  7
71.79  1.315  6
71.94  1.313  6
42.15  2.144  6
29.44  3.034  4
23.95  3.716  3